Starting from a cell relaxed with GGA+U, the powder diffractogram of MnGe2F8 was computed for copper Kα.

Largest 6 diffraction maxima, in order of rising 2θ, 2θ = 5–70°:
(0 1 1), 2θ 24.6, 3.612 Å, intensity 100; (1 1 0), 2θ 27.8, 3.205 Å, intensity 65; (1 2 1), 2θ 47.4, 1.920 Å, intensity 35; (3 0 0), 2θ 49.2, 1.851 Å, intensity 13; (0 2 2), 2θ 50.5, 1.806 Å, intensity 20; (2 2 0), 2θ 57.5, 1.603 Å, intensity 22

Atomic structure:
Cell lengths 6.4105, 6.4105, 4.7560 Å; angles 90.00, 90.00, 120.00 degrees
Space group P-3m1 (No. 164)
One atom of each set of equivalent atoms:
Mn  0.0000  0.0000  0.0000 [1 per cell]
Ge  0.3333  0.6667  0.2752 [2 per cell]
F  0.1617  0.3235  0.2371 [6 per cell]
F  0.3333  0.6667  0.6530 [2 per cell]